No. 1
# Ca5CeAu6
Simulated powder XRD pattern, Cu Kα (weighted mean of Kα1 and Kα2). Input: a crystal structure in Alexandria, relaxed with GGA-PBE.
No peak broadening, texture or thermal motion is included.

Top 8 peaks for 5 to 70 degrees two-theta, in order of rising 2θ:
24.3 deg, 3.657 Å, I 35
34.7 deg, 2.586 Å, I 100
42.8 deg, 2.111 Å, I 11
49.8 deg, 1.831 Å, I 6
49.9 deg, 1.827 Å, I 12
56.2 deg, 1.636 Å, I 13
62.2 deg, 1.494 Å, I 24
62.2 deg, 1.492 Å, I 12

Crystal structure
Lattice parameters (Å, degrees): 8.1674 8.1674 7.3241 90.00 90.00 143.09
Atoms (fractional coordinates):
Ca: 0.0000 0.0000 0.0000
Ca: 0.3296 0.6704 0.5000
Ca: 0.3337 0.6663 0.0000
Ca: 0.6663 0.3337 0.0000
Ca: 0.6704 0.3296 0.5000
Ce: 0.0000 0.0000 0.5000
Au: 0.1631 0.8369 0.2509
Au: 0.1631 0.8369 0.7491
Au: 0.5000 0.5000 0.2607
Au: 0.5000 0.5000 0.7393
Au: 0.8369 0.1631 0.2509
Au: 0.8369 0.1631 0.7491

=====

No. 2
# Li15In
Simulated powder XRD pattern, Cu Kα (weighted mean of Kα1 and Kα2). Input: a crystal structure in Alexandria, relaxed with GGA-PBE.
No peak broadening, texture or thermal motion is included.

Top 8 peaks for 5 to 70 degrees two-theta, in order of rising 2θ:
8.9 deg, 9.968 Å, I 90
17.0 deg, 5.214 Å, I 66
19.2 deg, 4.620 Å, I 100
24.7 deg, 3.603 Å, I 54
31.0 deg, 2.882 Å, I 30
31.9 deg, 2.802 Å, I 28
34.8 deg, 2.577 Å, I 22
39.0 deg, 2.310 Å, I 41

Crystal structure
Lattice parameters (Å, degrees): 6.0209 6.0209 9.9684 90.00 90.00 120.00
Atoms (fractional coordinates):
Li: 0.0000 0.0000 0.0000
Li: 0.3280 0.1640 0.2540
Li: 0.3280 0.1640 0.7460
Li: 0.3333 0.6667 0.2447
Li: 0.3333 0.6667 0.7553
Li: 0.5006 0.0012 0.5000
Li: 0.5006 0.4994 0.5000
Li: 0.5020 0.0039 0.0000
Li: 0.5020 0.4980 0.0000
Li: 0.8360 0.1640 0.2540
Li: 0.8360 0.1640 0.7460
Li: 0.8360 0.6720 0.2540
Li: 0.8360 0.6720 0.7460
Li: 0.9961 0.4980 0.0000
Li: 0.9988 0.4994 0.5000
In: 0.0000 0.0000 0.5000

=====

No. 3
# Sm3Dy2Ag2
Simulated powder XRD pattern, Cu Kα (weighted mean of Kα1 and Kα2). Input: a crystal structure in Alexandria, relaxed with GGA-PBE.
No peak broadening, texture or thermal motion is included.

Top 8 peaks for 5 to 70 degrees two-theta, in order of rising 2θ:
30.7 deg, 2.911 Å, I 74
31.1 deg, 2.874 Å, I 61
31.5 deg, 2.838 Å, I 100
33.1 deg, 2.710 Å, I 55
33.4 deg, 2.680 Å, I 61
33.6 deg, 2.665 Å, I 39
35.1 deg, 2.557 Å, I 53
38.3 deg, 2.352 Å, I 34

Crystal structure
Lattice parameters (Å, degrees): 6.7802 6.7802 9.2668 114.44 114.44 32.11
Atoms (fractional coordinates):
Sm: 0.0000 0.0000 0.0000
Sm: 0.1100 0.1100 0.4456
Sm: 0.8900 0.8900 0.5544
Dy: 0.3527 0.3527 0.1868
Dy: 0.6473 0.6473 0.8132
Ag: 0.3245 0.3245 0.7763
Ag: 0.6755 0.6755 0.2237